1.
Cs3CoBr5: computed powder XRD pattern (Cu Ka), based on a structure optimized by DFT (GGA-PBE).
Peak positions follow from Bragg's law for the DFT cell and can differ from measured ones.

Main lines, in order of rising 2θ (10° ≤ 2θ ≤ 90°):
- 21.39 deg, intensity 20
- 25.45 deg, intensity 17
- 26.67 deg, intensity 100
- 28.51 deg, intensity 47
- 34.76 deg, intensity 14
- 37.17 deg, intensity 11
- 40.76 deg, intensity 12
- 45.92 deg, intensity 11
- 51.48 deg, intensity 12
- 52.95 deg, intensity 19

Atomic structure:
a b c (Å): 9.899 9.899 15.287
angles (deg): 90.00 90.00 90.00
Space group I4/mcm (No. 140)
Symmetry-distinct sites (fractional):
1 Cs 0.000 0.000 0.250 [4 per cell]
2 Cs 0.165 0.335 0.000 [8 per cell]
3 Co 0.000 0.500 0.250 [4 per cell]
4 Br 0.000 0.000 0.000 [4 per cell]
5 Br 0.138 0.362 0.343 [16 per cell]

***

2.
Cs2CoCuBr6: computed powder XRD pattern (Cu Ka), based on a structure optimized by DFT (GGA-PBE).
Peak positions follow from Bragg's law for the DFT cell and can differ from measured ones.

Main lines, in order of rising 2θ (10° ≤ 2θ ≤ 90°):
- 22.46 deg, intensity 40
- 23.08 deg, intensity 16
- 25.92 deg, intensity 15
- 27.85 deg, intensity 100
- 31.04 deg, intensity 35
- 32.87 deg, intensity 71
- 45.84 deg, intensity 40
- 47.17 deg, intensity 22
- 55.67 deg, intensity 19
- 57.55 deg, intensity 17

Atomic structure:
a b c (Å): 7.707 7.707 11.524
angles (deg): 90.00 90.00 90.00
Space group I4/mmm (No. 139)
Symmetry-distinct sites (fractional):
1 Cs 0.000 0.500 0.250 [4 per cell]
2 Co 0.000 0.000 0.000 [2 per cell]
3 Cu 0.000 0.000 0.500 [2 per cell]
4 Br 0.000 0.000 0.301 [4 per cell]
5 Br 0.217 0.217 0.000 [8 per cell]

***

3.
Cs2LiCoBr6: computed powder XRD pattern (Cu Ka), based on a structure optimized by DFT (GGA-PBE).
Peak positions follow from Bragg's law for the DFT cell and can differ from measured ones.

Main lines, in order of rising 2θ (10° ≤ 2θ ≤ 90°):
- 13.64 deg, intensity 10
- 19.13 deg, intensity 14
- 26.90 deg, intensity 15
- 27.47 deg, intensity 23
- 30.28 deg, intensity 100
- 38.83 deg, intensity 27
- 47.52 deg, intensity 20
- 50.36 deg, intensity 22
- 55.77 deg, intensity 15
- 57.39 deg, intensity 13

Atomic structure:
a b c (Å): 7.6539 7.6539 6.4928
angles (deg): 90.00 90.00 120.00
Space group P-3m1 (No. 164)
Symmetry-distinct sites (fractional):
1 Cs 0.3333 0.6667 0.2693 [2 per cell]
2 Li 0.0000 0.0000 0.0000 [1 per cell]
3 Co 0.0000 0.0000 0.5000 [1 per cell]
4 Br 0.1500 0.3000 0.7197 [6 per cell]

***

4.
CsMgCo2Br8: computed powder XRD pattern (Cu Ka), based on a structure optimized by DFT (GGA-PBE).
Peak positions follow from Bragg's law for the DFT cell and can differ from measured ones.

Main lines, in order of rising 2θ (10° ≤ 2θ ≤ 90°):
- 19.16 deg, intensity 30
- 26.54 deg, intensity 40
- 27.80 deg, intensity 100
- 31.85 deg, intensity 59
- 44.85 deg, intensity 35
- 46.45 deg, intensity 38
- 54.30 deg, intensity 31
- 55.00 deg, intensity 14
- 57.43 deg, intensity 14
- 74.78 deg, intensity 11

Atomic structure:
a b c (Å): 6.7716 6.7716 30.2245
angles (deg): 90.00 90.00 120.00
Space group R-3 (No. 148, hexagonal axes)
Symmetry-distinct sites (fractional):
1 Cs 0.0000 0.0000 0.0000 [3 per cell]
2 Mg 0.0000 0.0000 0.5000 [3 per cell]
3 Co 0.0000 0.0000 0.2426 [6 per cell]
4 Br 0.0000 0.0000 0.3198 [6 per cell]
5 Br 0.0027 0.3261 0.4472 [18 per cell]

***

5.
Cs3Rb3CoBr8: computed powder XRD pattern (Cu Ka), based on a structure optimized by DFT (GGA-PBE).
Peak positions follow from Bragg's law for the DFT cell and can differ from measured ones.

Main lines, in order of rising 2θ (10° ≤ 2θ ≤ 90°):
- 11.00 deg, intensity 33
- 25.42 deg, intensity 100
- 33.24 deg, intensity 8
- 33.42 deg, intensity 7
- 35.93 deg, intensity 29
- 36.60 deg, intensity 31
- 45.09 deg, intensity 13
- 52.22 deg, intensity 10
- 58.49 deg, intensity 9
- 59.41 deg, intensity 10

Atomic structure:
a b c (Å): 9.8217 9.8217 24.7148
angles (deg): 90.00 90.00 120.00
Space group R-3m (No. 166, hexagonal axes)
Symmetry-distinct sites (fractional):
1 Cs 0.0000 0.5000 0.0000 [9 per cell]
2 Rb 0.0000 0.5000 0.5000 [9 per cell]
3 Co 0.0000 0.0000 0.5000 [3 per cell]
4 Br 0.0000 0.0000 0.2449 [6 per cell]
5 Br 0.0721 0.5360 0.2284 [18 per cell]

***

6.
CsSmCo2Br8: computed powder XRD pattern (Cu Ka), based on a structure optimized by DFT (GGA-PBE).
Peak positions follow from Bragg's law for the DFT cell and can differ from measured ones.

Main lines, in order of rising 2θ (10° ≤ 2θ ≤ 90°):
- 15.65 deg, intensity 75
- 20.95 deg, intensity 25
- 22.65 deg, intensity 54
- 22.85 deg, intensity 24
- 26.30 deg, intensity 51
- 27.96 deg, intensity 32
- 28.49 deg, intensity 100
- 31.70 deg, intensity 45
- 44.82 deg, intensity 29
- 44.95 deg, intensity 51

Atomic structure:
a b c (Å): 11.400 7.784 10.660
angles (deg): 90.00 97.92 90.00
Space group C2/m (No. 12)
Symmetry-distinct sites (fractional):
1 Cs 0.000 0.000 0.000 [2 per cell]
2 Sm 0.000 0.000 0.500 [2 per cell]
3 Co 0.112 0.500 0.295 [4 per cell]
4 Br 0.020 0.254 0.700 [8 per cell]
5 Br 0.186 0.500 0.101 [4 per cell]
6 Br 0.248 0.500 0.490 [4 per cell]